Pr4Se5O: theoretical powder X-ray diffraction pattern (Cu Kα X-rays), based on a cell relaxed with PBE.

Most intense lines, 2θ = 5–70°, sorted by position:
(0 0 4), 2θ = 19.2°, rel. 38
(1 0 1), 2θ = 22.8°, rel. 33
(1 1 2), 2θ = 26.9°, rel. 67
(0 0 6), 2θ = 28.9°, rel. 34
(1 2 1), 2θ = 32.6°, rel. 100
(0 2 6), 2θ = 37.2°, rel. 34
(1 2 5), 2θ = 40.6°, rel. 76
(1 0 7), 2θ = 40.9°, rel. 38

Cell and atoms:
a = 3.9850 Å, b = 7.7569 Å, c = 18.5178 Å
α = 90.00°, β = 90.00°, γ = 90.00°
Space group Immm (No. 71)
One atom of each set of equivalent atoms:
Pr: 0.0000 0.0000 0.2185 [4 per cell]
Pr: 0.0000 0.2803 0.5000 [4 per cell]
Se: 0.0000 0.2538 0.3400 [8 per cell]
Se: 0.0000 0.5000 0.0000 [2 per cell]
O: 0.0000 0.0000 0.0000 [2 per cell]


BaLaSi3: theoretical powder X-ray diffraction pattern (Cu Kα X-rays), based on a cell relaxed with PBE.

Most intense lines, 2θ = 5–70°, sorted by position:
(0 0 1), 2θ = 20.2°, rel. 24
(2 2 0), 2θ = 23.5°, rel. 52
(0 4 0), 2θ = 25.1°, rel. 23
(2 2 1), 2θ = 31.2°, rel. 100
(0 4 1), 2θ = 32.5°, rel. 44
(2 6 0), 2θ = 43.3°, rel. 25
(4 4 1), 2θ = 52.7°, rel. 22
(2 6 2), 2θ = 61.2°, rel. 18

Cell and atoms:
a = 8.9475 Å, b = 14.1679 Å, c = 4.3959 Å
α = 90.00°, β = 90.00°, γ = 90.00°
Space group Cmmm (No. 65)
One atom of each set of equivalent atoms:
Ba: 0.0000 0.0000 0.0000 [2 per cell]
Ba: 0.0000 0.5000 0.0000 [2 per cell]
La: 0.2500 0.2500 0.0000 [4 per cell]
Si: 0.0000 0.1771 0.5000 [4 per cell]
Si: 0.2326 0.0871 0.5000 [8 per cell]